Calculated XRD peak list of K3CeI8 for CuKα, from the GGA-PBE geometry in Alexandria.

Structural model:
```
K3CeI8
1.0
-4.093 4.093 8.193
4.093 -4.093 8.193
4.093 4.093 -8.193
K Ce I
3 1 8
Cartesian
0.000 0.000 0.000
4.093 0.000 4.097
0.000 4.093 4.097
0.000 0.000 8.193
2.218 2.218 -1.881
1.875 -1.875 6.312
2.218 2.218 1.881
1.875 -1.875 10.075
-1.875 1.875 6.312
1.875 1.875 6.312
-1.875 1.875 10.075
1.875 1.875 10.075
```

Top 10 peaks for 2θ from 15° to 90°, by angle:
d_spacing	I_rel
4.727	12
4.094	42
2.895	100
2.364	11
2.047	16
1.831	12
1.671	30
1.447	8
1.295	10
1.094	10

---

Calculated XRD peak list of CeDyAgS4 for CuKα, from the GGA-PBE geometry in Alexandria.

Structural model:
```
CeDyAgS4
1.0
-3.946 4.088 5.633
3.946 -4.088 5.633
3.946 4.088 -5.633
Ce Dy Ag S
2 2 2 8
Cartesian
0.000 0.000 0.000
0.000 4.088 0.000
-1.973 2.044 2.817
1.973 2.044 2.817
3.946 2.044 -1.490
0.000 2.044 7.123
1.843 2.044 0.073
2.103 -2.044 5.706
0.000 0.145 2.721
3.946 0.145 2.913
0.000 3.943 2.721
3.946 3.943 2.913
1.843 6.132 -0.073
2.103 2.044 5.561
```

Top 10 peaks for 2θ from 15° to 90°, by angle:
d_spacing	I_rel
3.999	24
3.455	57
3.413	32
3.390	100
2.839	38
2.817	19
2.199	26
2.171	34
2.044	21
2.000	78

---

Calculated XRD peak list of Cs2SrTeO6 for CuKα, from the GGA-PBE geometry in Alexandria.

Structural model:
```
Cs2SrTeO6
1.0
6.900 0.000 0.000
-3.450 5.976 0.000
0.000 0.000 6.409
Cs Sr Te O
2 1 1 6
Cartesian
0.000 3.984 0.742
3.450 1.992 5.668
0.000 0.000 3.205
0.000 0.000 0.000
0.000 1.555 5.236
-2.103 5.198 5.236
1.347 0.778 1.174
2.103 5.198 5.236
5.553 0.778 1.174
3.450 4.420 1.174
```

Top 10 peaks for 2θ from 15° to 90°, by angle:
d_spacing	I_rel
4.371	35
3.450	100
3.038	34
2.824	42
2.708	27
2.348	22
2.185	34
1.992	19
1.846	27
1.725	17

---

Calculated XRD peak list of LaTcPt for CuKα, from the GGA-PBE geometry in Alexandria.

Structural model:
```
LaTcPt
1.0
-1.461 2.040 5.282
1.461 -2.040 5.282
1.461 2.040 -5.282
La Tc Pt
1 1 1
Cartesian
0.000 0.000 0.000
0.000 0.000 3.070
0.000 0.000 7.476
```

Top 10 peaks for 2θ from 15° to 90°, by angle:
d_spacing	I_rel
5.282	32
3.806	21
2.666	91
2.641	32
2.376	100
2.249	56
2.040	32
1.766	38
1.511	32
1.415	25